[1]
Starting from a crystal structure in Alexandria, relaxed with PBE, the powder XRD pattern of Sn3P was simulated for Cu Kα.
No peak broadening, texture or thermal motion is included.

Largest 6 diffraction maxima, by intensity, 2θ = 10–90°:
Position (°2θ), intensity
36.18, 100
32.85, 29
32.10, 23
60.84, 23
67.58, 22
22.81, 19

Crystal structure
Cell: 6.4393 6.4393 5.4524 Å, 90.00 90.00 120.00°
Fractional positions:
Sn (0.1707, 0.3414, 0.2500)
Sn (0.1707, 0.8293, 0.2500)
Sn (0.3414, 0.1707, 0.7500)
Sn (0.6586, 0.8293, 0.2500)
Sn (0.8293, 0.1707, 0.7500)
Sn (0.8293, 0.6586, 0.7500)
P (0.3333, 0.6667, 0.7500)
P (0.6667, 0.3333, 0.2500)

---

[2]
Starting from a crystal structure in Alexandria, relaxed with PBE, the powder XRD pattern of Ce6Al3C was simulated for Cu Kα.
No peak broadening, texture or thermal motion is included.

Largest 6 diffraction maxima, by intensity, 2θ = 10–90°:
Position (°2θ), intensity
27.80, 100
30.56, 85
32.98, 84
33.95, 83
34.10, 67
36.23, 67

Crystal structure
Cell: 6.2369 6.2369 7.1777 Å, 98.80 98.80 62.03°
Fractional positions:
Ce (0.1001, 0.6455, 0.6194)
Ce (0.3545, 0.8999, 0.3806)
Ce (0.3700, 0.3700, 0.1533)
Ce (0.6300, 0.6300, 0.8467)
Ce (0.6455, 0.1001, 0.6194)
Ce (0.8999, 0.3545, 0.3806)
Al (0.0000, 0.0000, 0.0000)
Al (0.1561, 0.1561, 0.7626)
Al (0.8439, 0.8439, 0.2374)
C (0.5000, 0.5000, 0.5000)

---

[3]
Starting from a crystal structure in Alexandria, relaxed with PBE, the powder XRD pattern of La3Er13 was simulated for Cu Kα.
No peak broadening, texture or thermal motion is included.

Largest 6 diffraction maxima, by intensity, 2θ = 10–90°:
Position (°2θ), intensity
32.63, 100
31.62, 24
28.45, 24
60.70, 22
56.95, 20
43.04, 16

Crystal structure
Cell: 7.2554 8.4444 8.4444 Å, 84.18 90.00 90.00°
Fractional positions:
La (0.0000, 0.0000, 0.0000)
La (0.2541, 0.7460, 0.7460)
La (0.7459, 0.7460, 0.7460)
Er (0.0000, 0.4138, 0.9183)
Er (0.0000, 0.4949, 0.4949)
Er (0.0000, 0.9183, 0.4138)
Er (0.2500, 0.2507, 0.2507)
Er (0.2512, 0.1705, 0.6610)
Er (0.2512, 0.6610, 0.1705)
Er (0.5000, 0.0009, 0.0009)
Er (0.5000, 0.4090, 0.9221)
Er (0.5000, 0.4950, 0.4950)
Er (0.5000, 0.9221, 0.4090)
Er (0.7488, 0.1705, 0.6610)
Er (0.7488, 0.6610, 0.1705)
Er (0.7500, 0.2507, 0.2507)

---

[4]
Starting from a crystal structure in Alexandria, relaxed with PBE, the powder XRD pattern of Li5Sb2Au was simulated for Cu Kα.
No peak broadening, texture or thermal motion is included.

Largest 6 diffraction maxima, by intensity, 2θ = 10–90°:
Position (°2θ), intensity
22.20, 100
41.52, 34
37.93, 33
21.63, 30
49.01, 20
44.39, 16

Crystal structure
Cell: 4.7440 4.7440 17.9456 Å, 90.00 90.00 120.00°
Fractional positions:
Li (0.0000, 0.0000, 0.1385)
Li (0.0000, 0.0000, 0.3615)
Li (0.0000, 0.0000, 0.6385)
Li (0.0000, 0.0000, 0.8615)
Li (0.3333, 0.6667, 0.0549)
Li (0.3333, 0.6667, 0.2500)
Li (0.3333, 0.6667, 0.4451)
Li (0.6667, 0.3333, 0.5549)
Li (0.6667, 0.3333, 0.7500)
Li (0.6667, 0.3333, 0.9451)
Sb (0.3333, 0.6667, 0.6040)
Sb (0.3333, 0.6667, 0.8960)
Sb (0.6667, 0.3333, 0.1040)
Sb (0.6667, 0.3333, 0.3960)
Au (0.3333, 0.6667, 0.7500)
Au (0.6667, 0.3333, 0.2500)

---

[5]
Starting from a crystal structure in Alexandria, relaxed with PBE, the powder XRD pattern of Ce2SmGe2 was simulated for Cu Kα.
No peak broadening, texture or thermal motion is included.

Largest 6 diffraction maxima, by intensity, 2θ = 10–90°:
Position (°2θ), intensity
34.13, 100
33.04, 73
31.59, 48
35.77, 37
46.36, 33
37.33, 30

Crystal structure
Cell: 5.3893 5.4216 8.9264 Å, 90.00 103.86 90.00°
Fractional positions:
Ce (0.1343, 0.2500, 0.0490)
Ce (0.1764, 0.7500, 0.3557)
Ce (0.8236, 0.2500, 0.6443)
Ce (0.8657, 0.7500, 0.9510)
Sm (0.3204, 0.7500, 0.7317)
Sm (0.6796, 0.2500, 0.2683)
Ge (0.2495, 0.2500, 0.4689)
Ge (0.4338, 0.7500, 0.1005)
Ge (0.5662, 0.2500, 0.8995)
Ge (0.7505, 0.7500, 0.5311)

---

[6]
Starting from a crystal structure in Alexandria, relaxed with PBE, the powder XRD pattern of U3Os was simulated for Cu Kα.
No peak broadening, texture or thermal motion is included.

Largest 6 diffraction maxima, by intensity, 2θ = 10–90°:
Position (°2θ), intensity
36.25, 100
36.59, 96
36.98, 92
37.91, 89
38.32, 87
41.07, 69

Crystal structure
Cell: 4.8789 5.2687 6.1230 Å, 102.18 91.11 94.27°
Fractional positions:
U (0.2148, 0.3467, 0.0597)
U (0.2526, 0.8598, 0.8167)
U (0.2629, 0.3883, 0.5743)
U (0.7371, 0.6117, 0.4257)
U (0.7474, 0.1402, 0.1833)
U (0.7852, 0.6533, 0.9403)
Os (0.2605, 0.8662, 0.3255)
Os (0.7395, 0.1338, 0.6745)